Entry 1:
Starting from a cell relaxed with PBE, the X-ray powder pattern of NaYC4O10 was calculated for CuKα.
Intensities are scaled so that the largest is 100.

Top 6 peaks for 5 to 70 degrees two-theta, by angle:
two_theta, I (rel.), hkl
15.24, 100, 0 1 1
20.02, 67, 1 2 0
20.66, 22, 1 0 1
26.18, 24, 1 3 0
27.77, 37, 0 1 2
28.17, 37, 1 3 -1

Crystal structure
```
32
Lattice="6.798 0.000 0.000 0.000 11.880 0.000 -1.381 0.000 6.677" Properties=species:S:1:pos:R:3 pbc="T T T"
Na 0.627 0.000 3.251
Na 4.789 5.940 3.426
Y 2.092 8.769 0.713
Y 3.324 2.829 5.964
C 0.312 6.316 2.279
C -0.140 4.014 5.044
C 2.307 0.340 0.169
C 2.568 3.102 2.650
C 2.849 9.042 4.027
C 3.109 6.280 6.508
C 5.557 9.954 1.633
C 5.105 0.376 4.398
O -0.075 9.923 1.820
O -0.636 0.153 5.118
O 0.403 5.879 3.486
O 1.294 7.051 1.778
O 0.587 8.730 5.506
O 0.973 3.887 5.395
O 1.994 11.363 0.922
O 1.949 2.112 2.475
O 1.444 1.213 6.261
O 2.399 10.084 3.714
O 3.018 4.144 2.963
O 3.972 7.153 0.416
O 3.468 8.052 4.202
O 3.422 5.424 5.755
O 4.444 9.826 1.282
O 4.829 2.790 1.171
O 4.123 1.111 4.899
O 5.014 11.819 3.191
O 6.053 6.093 1.559
O 5.492 3.983 4.857
```

***

Entry 2:
Starting from a cell relaxed with PBE, the X-ray powder pattern of P was calculated for CuKα.
Intensities are scaled so that the largest is 100.

Top 6 peaks for 5 to 70 degrees two-theta, by angle:
two_theta, I (rel.), hkl
17.51, 84, 0 1 2
18.02, 69, 1 0 1
19.38, 100, 1 -2 0
19.49, 97, 1 0 -2
20.32, 75, 0 2 -2
22.95, 80, 0 3 0

Crystal structure
```
24
Lattice="6.025 0.000 0.000 -2.098 11.676 0.000 -1.824 -1.204 11.819" Properties=species:S:1:pos:R:3 pbc="T T T"
P -0.806 1.204 3.654
P -1.619 3.592 7.471
P 0.089 -0.199 2.208
P -0.452 -0.279 8.130
P -0.525 5.583 4.254
P 0.644 -0.307 4.337
P -1.620 6.241 11.139
P -0.499 7.559 3.280
P -0.489 7.416 5.477
P -0.078 2.551 11.651
P -1.013 8.341 11.406
P -0.049 7.104 9.858
P 2.152 3.368 1.961
P 3.116 2.131 0.412
P 2.181 7.921 0.168
P 2.592 3.057 6.341
P 2.602 2.913 8.539
P 3.723 4.231 0.680
P 1.459 10.780 7.482
P 2.628 4.889 7.565
P 2.555 10.752 3.688
P 2.014 10.671 9.611
P 3.722 6.880 4.347
P 2.909 9.269 8.165
```

***

Entry 3:
Starting from a cell relaxed with PBE, the X-ray powder pattern of CeFeGe3 was calculated for CuKα.
Intensities are scaled so that the largest is 100.

Top 6 peaks for 5 to 70 degrees two-theta, by angle:
two_theta, I (rel.), hkl
34.17, 33, 1 0 3
34.61, 100, 1 1 2
36.13, 18, 0 0 4
42.07, 53, 2 0 0
56.63, 19, 2 0 4
61.01, 17, 2 2 0

Crystal structure
```
10
Lattice="4.296 0.000 0.000 0.000 4.296 0.000 0.000 0.000 9.944" Properties=species:S:1:pos:R:3 pbc="T T T"
Ce 0.000 0.000 0.000
Ce 2.148 2.148 4.972
Fe 0.000 0.000 6.673
Fe 2.148 2.148 1.701
Ge 0.000 0.000 4.410
Ge 0.000 2.148 2.610
Ge 0.000 2.148 7.582
Ge 2.148 0.000 2.610
Ge 2.148 0.000 7.582
Ge 2.148 2.148 9.382
```

***

Copy entry 1 word for word.
Starting from a cell relaxed with PBE, the X-ray powder pattern of NaYC4O10 was calculated for CuKα.
Intensities are scaled so that the largest is 100.

Top 6 peaks for 5 to 70 degrees two-theta, by angle:
two_theta, I (rel.), hkl
15.24, 100, 0 1 1
20.02, 67, 1 2 0
20.66, 22, 1 0 1
26.18, 24, 1 3 0
27.77, 37, 0 1 2
28.17, 37, 1 3 -1

Crystal structure
```
32
Lattice="6.798 0.000 0.000 0.000 11.880 0.000 -1.381 0.000 6.677" Properties=species:S:1:pos:R:3 pbc="T T T"
Na 0.627 0.000 3.251
Na 4.789 5.940 3.426
Y 2.092 8.769 0.713
Y 3.324 2.829 5.964
C 0.312 6.316 2.279
C -0.140 4.014 5.044
C 2.307 0.340 0.169
C 2.568 3.102 2.650
C 2.849 9.042 4.027
C 3.109 6.280 6.508
C 5.557 9.954 1.633
C 5.105 0.376 4.398
O -0.075 9.923 1.820
O -0.636 0.153 5.118
O 0.403 5.879 3.486
O 1.294 7.051 1.778
O 0.587 8.730 5.506
O 0.973 3.887 5.395
O 1.994 11.363 0.922
O 1.949 2.112 2.475
O 1.444 1.213 6.261
O 2.399 10.084 3.714
O 3.018 4.144 2.963
O 3.972 7.153 0.416
O 3.468 8.052 4.202
O 3.422 5.424 5.755
O 4.444 9.826 1.282
O 4.829 2.790 1.171
O 4.123 1.111 4.899
O 5.014 11.819 3.191
O 6.053 6.093 1.559
O 5.492 3.983 4.857
```

***

> What is the formula in the third record?

CeFeGe3

***

Repeat the third record exactly.
Starting from a cell relaxed with PBE, the X-ray powder pattern of CeFeGe3 was calculated for CuKα.
Intensities are scaled so that the largest is 100.

Top 6 peaks for 5 to 70 degrees two-theta, by angle:
two_theta, I (rel.), hkl
34.17, 33, 1 0 3
34.61, 100, 1 1 2
36.13, 18, 0 0 4
42.07, 53, 2 0 0
56.63, 19, 2 0 4
61.01, 17, 2 2 0

Crystal structure
```
10
Lattice="4.296 0.000 0.000 0.000 4.296 0.000 0.000 0.000 9.944" Properties=species:S:1:pos:R:3 pbc="T T T"
Ce 0.000 0.000 0.000
Ce 2.148 2.148 4.972
Fe 0.000 0.000 6.673
Fe 2.148 2.148 1.701
Ge 0.000 0.000 4.410
Ge 0.000 2.148 2.610
Ge 0.000 2.148 7.582
Ge 2.148 0.000 2.610
Ge 2.148 0.000 7.582
Ge 2.148 2.148 9.382
```